Record 1
# V2OF5
Calculated powder diffractogram, Cu Kα (weighted mean of Kα1 and Kα2). Input: DFT lattice parameters and positions (GGA+U).
No peak broadening, texture or thermal motion is included.

Peak list (10 most intense, 10 to 90 degrees two-theta, in order of falling intensity)
2theta	d_spacing	I_rel
21.0	4.228	100
28.5	3.129	59
28.9	3.086	47
29.1	3.069	35
28.3	3.155	29
54.2	1.692	26
42.0	2.152	24
41.5	2.178	23
55.0	1.670	23
42.3	2.135	22

Cell: 4.8886 4.8886 4.5869 Å, 91.38 91.38 59.83°
Atoms (fractional coordinates):
V 0.1567 0.1567 0.2357
V 0.8433 0.8433 0.7643
O 0.1080 0.8920 0.0000
F 0.1253 0.5113 0.5013
F 0.4862 0.1539 0.0032
F 0.4887 0.8747 0.4987
F 0.8464 0.1536 0.5000
F 0.8461 0.5138 0.9968

---

Record 2
# VOF2
Calculated powder diffractogram, Cu Kα (weighted mean of Kα1 and Kα2). Input: DFT lattice parameters and positions (GGA+U).
No peak broadening, texture or thermal motion is included.

Peak list (10 most intense, 10 to 90 degrees two-theta, in order of falling intensity)
2theta	d_spacing	I_rel
23.7	3.756	100
54.0	1.699	24
48.5	1.878	21
39.9	2.259	14
33.3	2.694	13
55.3	1.661	11
34.2	2.619	6
77.1	1.237	5
61.3	1.512	5
69.8	1.347	5

Cell: 5.2385 5.2385 13.3965 Å, 90.00 90.00 120.00°
Atoms (fractional coordinates):
V 0.0183 0.6801 0.0000
V 0.3199 0.3382 0.3333
V 0.3749 0.3729 0.8337
V 0.6271 0.0020 0.1670
V 0.6618 0.9817 0.6667
V 0.9980 0.6251 0.5003
O 0.2418 0.5555 0.4063
O 0.3137 0.7582 0.0730
O 0.4219 0.0799 0.2435
O 0.4445 0.6863 0.7396
O 0.6580 0.5781 0.9102
O 0.9201 0.3420 0.5769
F 0.0061 0.2525 0.2357
F 0.0252 0.1016 0.7410
F 0.0709 0.4096 0.9086
F 0.0763 0.9748 0.4076
F 0.2464 0.9939 0.9024
F 0.3387 0.9291 0.5752
F 0.5904 0.6613 0.2419
F 0.6025 0.2678 0.7423
F 0.6653 0.3975 0.4089
F 0.7322 0.3347 0.0756
F 0.7475 0.7536 0.5691
F 0.8984 0.9237 0.0743

---

Record 3
# V3O4F2
Calculated powder diffractogram, Cu Kα (weighted mean of Kα1 and Kα2). Input: DFT lattice parameters and positions (GGA+U).
No peak broadening, texture or thermal motion is included.

Peak list (10 most intense, 10 to 90 degrees two-theta, in order of falling intensity)
2theta	d_spacing	I_rel
26.7	3.341	100
35.6	2.524	23
55.0	1.671	18
53.5	1.713	14
53.8	1.705	14
52.8	1.735	13
40.0	2.252	13
52.3	1.750	13
62.2	1.493	12
36.0	2.492	11

Cell: 4.7374 4.7153 10.0122 Å, 90.00 116.46 90.00°
Atoms (fractional coordinates):
V 0.0000 0.0000 0.0000
V 0.0000 0.5000 0.5000
V 0.3802 0.0229 0.3460
V 0.3802 0.4771 0.8460
V 0.6198 0.5229 0.1540
V 0.6198 0.9771 0.6540
O 0.2915 0.1991 0.4956
O 0.2915 0.3009 0.9956
O 0.3612 0.6830 0.6714
O 0.3612 0.8170 0.1714
O 0.6388 0.1830 0.8286
O 0.6388 0.3170 0.3286
O 0.7085 0.6991 0.0044
O 0.7085 0.8009 0.5044
F 0.0316 0.7127 0.3287
F 0.0316 0.7873 0.8287
F 0.9684 0.2127 0.1713
F 0.9684 0.2873 0.6713

---

Record 4
# V3O4F2
Calculated powder diffractogram, Cu Kα (weighted mean of Kα1 and Kα2). Input: DFT lattice parameters and positions (GGA+U).
No peak broadening, texture or thermal motion is included.

Peak list (10 most intense, 10 to 90 degrees two-theta, in order of falling intensity)
2theta	d_spacing	I_rel
27.5	3.242	100
26.7	3.341	99
34.8	2.575	77
53.5	1.713	43
52.4	1.745	29
35.0	2.564	26
40.3	2.236	22
67.5	1.387	21
59.9	1.544	20
56.8	1.621	18

Cell: 4.6456 5.5863 7.7503 Å, 86.36 88.71 88.75°
Atoms (fractional coordinates):
V 0.0000 0.0000 0.0000
V 0.0038 0.6508 0.3038
V 0.4624 0.4638 0.9658
V 0.4997 0.1563 0.3181
V 0.5118 0.8071 0.6470
V 0.9696 0.3277 0.6357
O 0.1844 0.3556 0.4176
O 0.2080 0.6808 0.0760
O 0.2907 0.5160 0.7455
O 0.3016 0.1900 0.0837
O 0.6975 0.1168 0.5588
O 0.7862 0.2922 0.8805
O 0.8001 0.6142 0.5403
O 0.7996 0.9507 0.2233
F 0.1917 0.0187 0.7504
F 0.2994 0.8542 0.4190
F 0.6893 0.4552 0.2033
F 0.7019 0.7818 0.8828

---

Record 5
# V2OF5
Calculated powder diffractogram, Cu Kα (weighted mean of Kα1 and Kα2). Input: DFT lattice parameters and positions (GGA+U).
No peak broadening, texture or thermal motion is included.

Peak list (10 most intense, 10 to 90 degrees two-theta, in order of falling intensity)
2theta	d_spacing	I_rel
23.8	3.742	100
24.3	3.656	51
48.7	1.871	21
54.1	1.695	19
33.6	2.670	14
55.0	1.669	12
62.1	1.496	11
40.1	2.248	10
40.3	2.238	10
49.9	1.828	9

Cell: 5.1285 5.1285 5.3472 Å, 91.30 118.11 118.99°
Atoms (fractional coordinates):
V 0.0000 0.0000 0.0000
V 0.0001 0.4744 0.4732
O 0.0610 0.2984 0.2368
F 0.1014 0.2351 0.7442
F 0.4900 0.1255 0.2442
F 0.4906 0.8329 0.7298
F 0.8789 0.7204 0.2294
F 0.8991 0.6351 0.7373

---

Record 6
# V3O4F2
Calculated powder diffractogram, Cu Kα (weighted mean of Kα1 and Kα2). Input: DFT lattice parameters and positions (GGA+U).
No peak broadening, texture or thermal motion is included.

Peak list (10 most intense, 10 to 90 degrees two-theta, in order of falling intensity)
2theta	d_spacing	I_rel
27.1	3.288	100
34.9	2.568	51
53.2	1.722	32
53.1	1.725	28
40.1	2.248	22
67.7	1.385	22
67.1	1.395	12
60.1	1.540	10
56.0	1.641	9
55.8	1.647	9

Cell: 10.4115 10.4115 3.0802 Å, 90.00 90.00 143.24°
Atoms (fractional coordinates):
V 0.0000 0.0000 0.0000
V 0.1598 0.8402 0.5000
V 0.3395 0.6605 0.0000
V 0.5000 0.5000 0.5000
V 0.6605 0.3395 0.0000
V 0.8402 0.1598 0.5000
O 0.0231 0.3596 0.0000
O 0.0656 0.9344 0.5000
O 0.3596 0.0231 0.0000
O 0.4030 0.5970 0.5000
O 0.5970 0.4030 0.5000
O 0.6404 0.9769 0.0000
O 0.9344 0.0656 0.5000
O 0.9769 0.6404 0.0000
F 0.2670 0.7330 0.5000
F 0.3004 0.3004 0.0000
F 0.6996 0.6996 0.0000
F 0.7330 0.2670 0.5000

---

Record 7
# V6O7F5
Calculated powder diffractogram, Cu Kα (weighted mean of Kα1 and Kα2). Input: DFT lattice parameters and positions (GGA+U).
No peak broadening, texture or thermal motion is included.

Peak list (10 most intense, 10 to 90 degrees two-theta, in order of falling intensity)
2theta	d_spacing	I_rel
27.1	3.290	100
26.8	3.328	97
34.6	2.592	73
52.6	1.739	29
52.5	1.742	29
52.9	1.731	28
34.4	2.604	26
39.7	2.269	24
67.2	1.392	22
59.3	1.559	20

Cell: 5.6122 5.6192 7.3634 Å, 72.37 72.79 71.73°
Atoms (fractional coordinates):
V 0.0000 0.0000 0.0000
V 0.0044 0.0013 0.5063
V 0.3500 0.2830 0.1621
V 0.3549 0.3623 0.6819
V 0.6623 0.6554 0.3402
V 0.7108 0.6441 0.8355
O 0.0008 0.3536 0.8266
O 0.1121 0.0806 0.2081
O 0.3047 0.6873 0.5126
O 0.4569 0.4278 0.8678
O 0.6516 0.0054 0.1732
O 0.6997 0.3072 0.5055
O 0.9128 0.8882 0.7994
F 0.0482 0.6117 0.1727
F 0.2532 0.2255 0.4712
F 0.3872 0.9609 0.8309
F 0.5733 0.5459 0.1380
F 0.7754 0.7597 0.5356

---

Record 8
# V2O3F
Calculated powder diffractogram, Cu Kα (weighted mean of Kα1 and Kα2). Input: DFT lattice parameters and positions (GGA+U).
No peak broadening, texture or thermal motion is included.

Peak list (10 most intense, 10 to 90 degrees two-theta, in order of falling intensity)
2theta	d_spacing	I_rel
27.8	3.208	100
35.3	2.545	95
26.2	3.406	93
54.2	1.693	57
52.3	1.749	53
67.6	1.385	48
39.8	2.266	27
40.9	2.205	19
61.1	1.517	18
57.5	1.604	16

Cell: 15.1748 4.6788 4.6788 Å, 86.56 90.00 90.00°
Atoms (fractional coordinates):
V 0.0000 0.0000 0.0000
V 0.1002 0.5432 0.5432
V 0.1995 0.0836 0.0836
V 0.3003 0.5372 0.5372
V 0.3998 0.0791 0.0791
V 0.5000 0.5350 0.5350
V 0.6002 0.0791 0.0791
V 0.6997 0.5372 0.5372
V 0.8005 0.0836 0.0836
V 0.8998 0.5432 0.5432
O 0.0000 0.7384 0.7384
O 0.0998 0.2347 0.8503
O 0.0998 0.8503 0.2347
O 0.1998 0.3462 0.3462
O 0.2997 0.2387 0.8525
O 0.2997 0.8525 0.2387
O 0.3999 0.3429 0.3429
O 0.5000 0.2358 0.8497
O 0.5000 0.8497 0.2358
O 0.6001 0.3429 0.3429
O 0.7003 0.2387 0.8525
O 0.7003 0.8525 0.2387
O 0.8002 0.3462 0.3462
O 0.9002 0.2347 0.8503
O 0.9002 0.8503 0.2347
F 0.0000 0.3405 0.3405
F 0.2008 0.7458 0.7458
F 0.4004 0.7438 0.7438
F 0.5996 0.7438 0.7438
F 0.7992 0.7458 0.7458

---

Record 9
# V2OF5
Calculated powder diffractogram, Cu Kα (weighted mean of Kα1 and Kα2). Input: DFT lattice parameters and positions (GGA+U).
No peak broadening, texture or thermal motion is included.

Peak list (10 most intense, 10 to 90 degrees two-theta, in order of falling intensity)
2theta	d_spacing	I_rel
23.7	3.747	100
23.5	3.780	99
23.4	3.805	98
32.9	2.721	27
53.2	1.721	23
47.8	1.902	22
48.2	1.890	21
48.6	1.874	20
39.5	2.282	18
53.8	1.705	14

Cell: 5.2318 5.2499 13.5506 Å, 89.37 89.68 60.50°
Atoms (fractional coordinates):
V 0.0000 0.0000 0.0000
V 0.0024 0.0023 0.4923
V 0.3085 0.3300 0.3324
V 0.3349 0.3383 0.8289
V 0.6277 0.6885 0.1587
V 0.6564 0.6494 0.6697
O 0.2083 0.0864 0.4154
O 0.3400 0.9022 0.0852
O 0.5771 0.4390 0.7453
F 0.0409 0.6724 0.4153
F 0.0660 0.2673 0.9132
F 0.2602 0.6696 0.9149
F 0.3298 0.7345 0.5776
F 0.3968 0.5954 0.2526
F 0.3982 0.0126 0.7423
F 0.5862 0.9988 0.2481
F 0.6347 0.2624 0.4212
F 0.6638 0.0693 0.9153
F 0.7326 0.3254 0.0854
F 0.7432 0.9120 0.5811
F 0.9231 0.3247 0.5842
F 0.9241 0.7286 0.0823
F 0.9766 0.4173 0.2438
F 0.9892 0.6096 0.7464

---

Record 10
# V2O3F
Calculated powder diffractogram, Cu Kα (weighted mean of Kα1 and Kα2). Input: DFT lattice parameters and positions (GGA+U).
No peak broadening, texture or thermal motion is included.

Peak list (10 most intense, 10 to 90 degrees two-theta, in order of falling intensity)
2theta	d_spacing	I_rel
27.4	3.261	100
26.5	3.367	96
35.5	2.526	91
52.8	1.733	61
53.8	1.703	56
67.6	1.385	44
40.3	2.240	19
54.5	1.683	19
40.9	2.208	18
61.9	1.500	17

Cell: 5.5655 5.5655 4.6861 Å, 91.54 91.54 65.24°
Atoms (fractional coordinates):
V 0.0000 0.0000 0.0000
V 0.0000 0.5000 0.5000
V 0.5000 0.0000 0.5000
V 0.5000 0.5000 0.0000
O 0.1517 0.6569 0.8067
O 0.1548 0.1548 0.6948
O 0.3431 0.8483 0.1933
O 0.6569 0.1517 0.8067
O 0.8452 0.8452 0.3052
O 0.8483 0.3431 0.1933
F 0.3508 0.3508 0.2956
F 0.6492 0.6492 0.7044

---

Record 11
# V2OF5
Calculated powder diffractogram, Cu Kα (weighted mean of Kα1 and Kα2). Input: DFT lattice parameters and positions (GGA+U).
No peak broadening, texture or thermal motion is included.

Peak list (10 most intense, 10 to 90 degrees two-theta, in order of falling intensity)
2theta	d_spacing	I_rel
23.7	3.758	100
23.6	3.778	99
23.4	3.801	98
33.0	2.716	39
39.5	2.280	26
53.4	1.717	24
47.9	1.900	22
48.2	1.889	21
48.4	1.879	20
69.2	1.358	16

Cell: 5.2646 5.4344 12.9522 Å, 91.18 90.74 118.89°
Atoms (fractional coordinates):
V 0.0000 0.0000 0.0000
V 0.0036 0.0114 0.5028
V 0.3262 0.6985 0.6603
V 0.3497 0.6572 0.1705
V 0.6639 0.3448 0.3314
V 0.6864 0.3735 0.8397
O 0.2024 0.8229 0.5650
O 0.5155 0.4856 0.2209
O 0.8997 0.6641 0.9129
F 0.0630 0.5489 0.2810
F 0.0725 0.3418 0.0828
F 0.1399 0.8610 0.1157
F 0.2674 0.1363 0.3850
F 0.2674 0.3572 0.5825
F 0.3974 0.2026 0.9486
F 0.4180 0.0166 0.7573
F 0.4604 0.5365 0.7758
F 0.5990 0.0107 0.2473
F 0.5988 0.8101 0.0515
F 0.7320 0.8843 0.6185
F 0.7342 0.6766 0.4204
F 0.8036 0.2127 0.4481
F 0.8699 0.1510 0.8847
F 0.9364 0.4769 0.7196